Record 1
SrThAgSe4: simulated powder diffractogram (CuKα), based on a DFT-relaxed cell (GGA-PBE, Alexandria).
Lines closer than 0.1° are merged.

Cell and atoms:
```
data_SrThAgSe4
_chemical_formula_sum 'Sr2 Th2 Ag2 Se8'
_cell_length_a 7.5604
_cell_length_b 5.9410
_cell_length_c 9.3031
_cell_angle_alpha 90.00
_cell_angle_beta 113.52
_cell_angle_gamma 90.00
_symmetry_space_group_name_H-M 'P 1'
_symmetry_Int_Tables_number 1
_symmetry_space_group_name_Hall 'P 1'
loop_
_atom_site_label
_atom_site_fract_x
_atom_site_fract_y
_atom_site_fract_z
Sr1 0.2085 0.2500 0.4593
Sr2 0.7915 0.7500 0.5407
Th1 0.2297 0.2500 0.9443
Th2 0.7703 0.7500 0.0557
Ag1 0.2669 0.7500 0.2124
Ag2 0.7331 0.2500 0.7876
Se1 0.0530 0.7500 0.9023
Se2 0.0697 0.7500 0.3796
Se3 0.4476 0.5120 0.7833
Se4 0.4476 0.9880 0.7833
Se5 0.5524 0.0120 0.2167
Se6 0.5524 0.4880 0.2167
Se7 0.9303 0.2500 0.6204
Se8 0.9470 0.2500 0.0977
```

Peak list (10 most intense, 5 to 70 degrees two-theta, sorted by position)
d = 8.530 Å, rel. 100
d = 4.875 Å, rel. 43
d = 3.446 Å, rel. 47
d = 3.119 Å, rel. 53
d = 2.981 Å, rel. 47
d = 2.970 Å, rel. 45
d = 2.762 Å, rel. 83
d = 2.730 Å, rel. 54
d = 2.314 Å, rel. 45
d = 2.297 Å, rel. 67

---

Record 2
CsICl3: simulated powder diffractogram (CuKα), based on a DFT-relaxed cell (GGA-PBE, Alexandria).
Lines closer than 0.1° are merged.

Cell and atoms:
```
data_CsICl3
_chemical_formula_sum 'Cs2 I2 Cl6'
_cell_length_a 5.6075
_cell_length_b 8.7013
_cell_length_c 9.6356
_cell_angle_alpha 68.70
_cell_angle_beta 75.76
_cell_angle_gamma 84.05
_symmetry_space_group_name_H-M 'P 1'
_symmetry_Int_Tables_number 1
_symmetry_space_group_name_Hall 'P 1'
loop_
_atom_site_label
_atom_site_fract_x
_atom_site_fract_y
_atom_site_fract_z
Cs1 0.0000 0.0000 0.0000
Cs2 0.3511 0.3876 0.2835
I1 0.5754 0.8073 0.4953
I2 0.7747 0.5792 0.7874
Cl1 0.3614 0.0097 0.6175
Cl2 0.4024 0.0042 0.2320
Cl3 0.5703 0.7599 0.9401
Cl4 0.7822 0.6277 0.3418
Cl5 0.9488 0.3835 0.0504
Cl6 0.9857 0.3755 0.6657
```

Peak list (10 most intense, 5 to 70 degrees two-theta, sorted by position)
d = 4.875 Å, rel. 100
d = 4.547 Å, rel. 38
d = 4.296 Å, rel. 49
d = 4.211 Å, rel. 76
d = 3.385 Å, rel. 56
d = 3.273 Å, rel. 34
d = 3.116 Å, rel. 35
d = 2.850 Å, rel. 51
d = 2.797 Å, rel. 54
d = 2.586 Å, rel. 54

---

Record 3
Pm3Y2Tm6: simulated powder diffractogram (CuKα), based on a DFT-relaxed cell (GGA-PBE, Alexandria).
Lines closer than 0.1° are merged.

Cell and atoms:
```
data_Pm3Y2Tm6
_chemical_formula_sum 'Pm3 Y2 Tm6'
_cell_length_a 16.9529
_cell_length_b 16.9529
_cell_length_c 16.9529
_cell_angle_alpha 164.01
_cell_angle_beta 164.01
_cell_angle_gamma 22.69
_symmetry_space_group_name_H-M 'P 1'
_symmetry_Int_Tables_number 1
_symmetry_space_group_name_Hall 'P 1'
loop_
_atom_site_label
_atom_site_fract_x
_atom_site_fract_y
_atom_site_fract_z
Pm1 0.0000 0.0000 0.0000
Pm2 0.2039 0.2039 0.0000
Pm3 0.7961 0.7961 0.0000
Y1 0.4533 0.4533 0.0000
Y2 0.5467 0.5467 0.0000
Tm1 0.1220 0.6220 0.5000
Tm2 0.3069 0.3069 0.0000
Tm3 0.3780 0.8780 0.5000
Tm4 0.6220 0.1220 0.5000
Tm5 0.6931 0.6931 0.0000
Tm6 0.8780 0.3780 0.5000
```

Peak list (10 most intense, 5 to 70 degrees two-theta, sorted by position)
d = 16.622 Å, rel. 27
d = 3.096 Å, rel. 100
d = 2.770 Å, rel. 20
d = 2.601 Å, rel. 77
d = 2.358 Å, rel. 65
d = 1.796 Å, rel. 22
d = 1.668 Å, rel. 20
d = 1.488 Å, rel. 21
d = 1.468 Å, rel. 22
d = 1.404 Å, rel. 23

---

Record 4
DyY2In3Te6: simulated powder diffractogram (CuKα), based on a DFT-relaxed cell (GGA-PBE, Alexandria).
Lines closer than 0.1° are merged.

Cell and atoms:
```
data_DyY2In3Te6
_chemical_formula_sum 'Dy1 Y2 In3 Te6'
_cell_length_a 7.6431
_cell_length_b 7.6431
_cell_length_c 8.5022
_cell_angle_alpha 98.62
_cell_angle_beta 98.62
_cell_angle_gamma 120.00
_symmetry_space_group_name_H-M 'P 1'
_symmetry_Int_Tables_number 1
_symmetry_space_group_name_Hall 'P 1'
loop_
_atom_site_label
_atom_site_fract_x
_atom_site_fract_y
_atom_site_fract_z
Dy1 0.0000 0.0000 0.0000
Y1 0.3334 0.6666 0.0000
Y2 0.6666 0.3334 0.0000
In1 0.1668 0.8332 0.5000
In2 0.5000 0.5000 0.5000
In3 0.8332 0.1668 0.5000
Te1 0.0731 0.4060 0.2193
Te2 0.2597 0.2597 0.7806
Te3 0.4060 0.0731 0.2193
Te4 0.5940 0.9269 0.7807
Te5 0.7403 0.7403 0.2194
Te6 0.9269 0.5940 0.7807
```

Peak list (10 most intense, 5 to 70 degrees two-theta, sorted by position)
d = 3.236 Å, rel. 100
d = 2.380 Å, rel. 39
d = 2.206 Å, rel. 35
d = 2.028 Å, rel. 7
d = 1.823 Å, rel. 19
d = 1.709 Å, rel. 3
d = 1.618 Å, rel. 12
d = 1.493 Å, rel. 15
d = 1.413 Å, rel. 5
d = 1.405 Å, rel. 16

---

Record 5
PrYBeN2: simulated powder diffractogram (CuKα), based on a DFT-relaxed cell (GGA-PBE, Alexandria).
Lines closer than 0.1° are merged.

Cell and atoms:
```
data_PrYBeN2
_chemical_formula_sum 'Pr2 Y2 Be2 N4'
_cell_length_a 5.0134
_cell_length_b 5.2677
_cell_length_c 6.6255
_cell_angle_alpha 90.00
_cell_angle_beta 90.00
_cell_angle_gamma 90.00
_symmetry_space_group_name_H-M 'P 1'
_symmetry_Int_Tables_number 1
_symmetry_space_group_name_Hall 'P 1'
loop_
_atom_site_label
_atom_site_fract_x
_atom_site_fract_y
_atom_site_fract_z
Pr1 0.0000 0.0000 0.2500
Pr2 0.0000 0.0000 0.7500
Y1 0.5000 0.5000 0.2500
Y2 0.5000 0.5000 0.7500
Be1 0.0000 0.5000 0.0000
Be2 0.0000 0.5000 0.5000
N1 0.2311 0.2973 0.0000
N2 0.2311 0.7027 0.5000
N3 0.7689 0.2973 0.5000
N4 0.7689 0.7027 0.0000
```

Peak list (10 most intense, 5 to 70 degrees two-theta, sorted by position)
d = 3.632 Å, rel. 100
d = 3.313 Å, rel. 30
d = 2.634 Å, rel. 20
d = 2.507 Å, rel. 17
d = 2.447 Å, rel. 78
d = 2.062 Å, rel. 25
d = 1.999 Å, rel. 23
d = 1.816 Å, rel. 18
d = 1.657 Å, rel. 18
d = 1.593 Å, rel. 25

---

Record 6
Tl3Se: simulated powder diffractogram (CuKα), based on a DFT-relaxed cell (GGA-PBE, Alexandria).
Lines closer than 0.1° are merged.

Cell and atoms:
```
data_Tl3Se
_chemical_formula_sum 'Tl24 Se8'
_cell_length_a 12.3107
_cell_length_b 12.3107
_cell_length_c 6.6520
_cell_angle_alpha 90.00
_cell_angle_beta 90.00
_cell_angle_gamma 90.00
_symmetry_space_group_name_H-M 'P 1'
_symmetry_Int_Tables_number 1
_symmetry_space_group_name_Hall 'P 1'
loop_
_atom_site_label
_atom_site_fract_x
_atom_site_fract_y
_atom_site_fract_z
Tl1 0.0394 0.5900 0.2336
Tl2 0.0900 0.9606 0.7336
Tl3 0.1013 0.2040 0.0241
Tl4 0.1344 0.6601 0.7182
Tl5 0.1601 0.8656 0.2182
Tl6 0.2040 0.3987 0.4759
Tl7 0.2960 0.1013 0.4759
Tl8 0.3399 0.6344 0.2182
Tl9 0.3656 0.8399 0.7182
Tl10 0.3987 0.2960 0.0241
Tl11 0.4100 0.5394 0.7336
Tl12 0.4606 0.9100 0.2336
Tl13 0.5394 0.0900 0.7664
Tl14 0.5900 0.4606 0.2664
Tl15 0.6013 0.7040 0.9759
Tl16 0.6344 0.1601 0.2818
Tl17 0.6601 0.3656 0.7818
Tl18 0.7040 0.8987 0.5241
Tl19 0.7960 0.6013 0.5241
Tl20 0.8399 0.1344 0.7818
Tl21 0.8656 0.3399 0.2818
Tl22 0.8987 0.7960 0.9759
Tl23 0.9100 0.0394 0.2664
Tl24 0.9606 0.4100 0.7664
Se1 0.0628 0.1907 0.5267
Se2 0.1907 0.4372 0.9733
Se3 0.3093 0.0628 0.9733
Se4 0.4372 0.3093 0.5267
Se5 0.5628 0.6907 0.4733
Se6 0.6907 0.9372 0.0267
Se7 0.8093 0.5628 0.0267
Se8 0.9372 0.8093 0.4733
```

Peak list (10 most intense, 5 to 70 degrees two-theta, sorted by position)
d = 3.360 Å, rel. 31
d = 3.107 Å, rel. 74
d = 3.038 Å, rel. 100
d = 2.902 Å, rel. 37
d = 2.753 Å, rel. 57
d = 2.724 Å, rel. 65
d = 2.529 Å, rel. 74
d = 2.414 Å, rel. 31
d = 1.781 Å, rel. 40
d = 1.680 Å, rel. 23